No. 1
Calculated PXRD pattern of ZnCu2B for Cu Kα (λ = 1.5418 Å), from the GGA-PBE geometry in OQMD.
Intensities are scaled so that the largest is 100.

Atomic structure:
a = 5.5881 Å, b = 5.5881 Å, c = 5.5881 Å
α = 90.00°, β = 90.00°, γ = 90.00°
Fractional coordinates of all 16 atoms:
Zn  0.0000  0.0000  0.0000
Zn  0.0000  0.0000  0.5000
Zn  0.0000  0.5000  0.0000
Zn  0.5000  0.0000  0.0000
Cu  0.2756  0.2756  0.2756
Cu  0.2756  0.2756  0.7244
Cu  0.2756  0.7244  0.2756
Cu  0.2756  0.7244  0.7244
Cu  0.7244  0.2756  0.2756
Cu  0.7244  0.2756  0.7244
Cu  0.7244  0.7244  0.2756
Cu  0.7244  0.7244  0.7244
B  0.0000  0.5000  0.5000
B  0.5000  0.0000  0.5000
B  0.5000  0.5000  0.0000
B  0.5000  0.5000  0.5000

Most intense lines, 5 to 70 degrees two-theta, low angle first:
hkl 1 1 1, 27.6 deg, d = 3.226 Å, rel. 7
hkl 2 0 0, 32.0 deg, d = 2.794 Å, rel. 9
hkl 2 1 0, 35.9 deg, d = 2.499 Å, rel. 28
hkl 2 2 0, 45.9 deg, d = 1.976 Å, rel. 100
hkl 3 0 0, 48.9 deg, d = 1.863 Å, rel. 10
hkl 3 1 1, 54.5 deg, d = 1.685 Å, rel. 3
hkl 4 0 0, 67.0 deg, d = 1.397 Å, rel. 13
hkl 3 2 2, 69.3 deg, d = 1.355 Å, rel. 11

No. 2
Calculated PXRD pattern of DyB2 for Cu Kα (λ = 1.5418 Å), from the GGA-PBE geometry in OQMD.
Intensities are scaled so that the largest is 100.

Atomic structure:
a = 3.2940 Å, b = 3.2940 Å, c = 3.8578 Å
α = 90.00°, β = 90.00°, γ = 120.00°
Fractional coordinates of all 3 atoms:
Dy  0.0000  0.0000  0.0000
B  0.3333  0.6667  0.5000
B  0.6667  0.3333  0.5000

Most intense lines, 5 to 70 degrees two-theta, low angle first:
hkl 0 0 1, 23.1 deg, d = 3.858 Å, rel. 47
hkl 1 0 0, 31.4 deg, d = 2.853 Å, rel. 75
hkl 1 0 1, 39.3 deg, d = 2.294 Å, rel. 100
hkl 0 0 2, 47.1 deg, d = 1.929 Å, rel. 11
hkl 1 1 0, 55.8 deg, d = 1.647 Å, rel. 19
hkl 1 0 2, 57.7 deg, d = 1.598 Å, rel. 27
hkl 1 1 1, 61.2 deg, d = 1.515 Å, rel. 21
hkl 2 0 0, 65.4 deg, d = 1.426 Å, rel. 9